(1)
For TbNiSb, a cell relaxed with PBE gives the theoretical X-ray diffraction stick pattern in this record (Cu Kα X-rays).
Intensities are scaled so that the largest is 100.

Main lines, sorted by position (2θ = 5–70°):
| 2theta | intensity |
| --- | --- |
| 24.20 | 12.0 |
| 28.01 | 49.8 |
| 40.03 | 100.0 |
| 49.57 | 14.0 |
| 57.91 | 16.6 |
| 65.53 | 18.4 |

Crystal structure
Lattice parameters (Å, degrees): 4.504 4.504 4.504 60.00 60.00 60.00
Fractional positions:
Tb 0.000 0.000 0.000
Ni 0.250 0.250 0.250
Sb 0.500 0.500 0.500



(2)
For Tb5Ni2Sb, a cell relaxed with PBE gives the theoretical X-ray diffraction stick pattern in this record (Cu Kα X-rays).
Intensities are scaled so that the largest is 100.

Main lines, sorted by position (2θ = 5–70°):
| 2theta | intensity |
| --- | --- |
| 26.88 | 29.5 |
| 31.50 | 27.7 |
| 33.02 | 100.0 |
| 35.70 | 40.8 |
| 37.13 | 56.4 |
| 58.11 | 22.2 |

Crystal structure
Lattice parameters (Å, degrees): 8.593 8.593 8.593 127.09 127.09 78.10
Fractional positions:
Tb 0.000 0.000 0.000
Tb 0.023 0.523 0.823
Tb 0.201 0.023 0.500
Tb 0.299 0.799 0.823
Tb 0.477 0.299 0.500
Tb 0.500 0.500 0.000
Tb 0.523 0.701 0.500
Tb 0.701 0.201 0.177
Tb 0.799 0.977 0.500
Tb 0.977 0.477 0.177
Ni 0.124 0.376 0.500
Ni 0.376 0.876 0.252
Ni 0.624 0.124 0.748
Ni 0.876 0.624 0.500
Sb 0.250 0.250 0.000
Sb 0.750 0.750 0.000



(3)
For Ni2SbTe, a cell relaxed with PBE gives the theoretical X-ray diffraction stick pattern in this record (Cu Kα X-rays).
Intensities are scaled so that the largest is 100.

Main lines, sorted by position (2θ = 5–70°):
| 2theta | intensity |
| --- | --- |
| 31.03 | 100.0 |
| 43.46 | 55.5 |
| 45.43 | 53.7 |
| 56.03 | 18.4 |
| 59.51 | 15.3 |
| 64.68 | 16.1 |

Crystal structure
Lattice parameters (Å, degrees): 3.993 3.993 5.216 90.00 90.00 120.00
Fractional positions:
Ni 0.000 0.000 0.248
Ni 0.000 0.000 0.752
Sb 0.667 0.333 0.000
Te 0.333 0.667 0.500



(4)
For TiNiSb, a cell relaxed with PBE gives the theoretical X-ray diffraction stick pattern in this record (Cu Kα X-rays).
Intensities are scaled so that the largest is 100.

Main lines, sorted by position (2θ = 5–70°):
| 2theta | intensity |
| --- | --- |
| 24.98 | 25.6 |
| 28.92 | 47.0 |
| 41.36 | 100.0 |
| 51.25 | 12.7 |
| 59.92 | 15.8 |
| 67.89 | 16.1 |

Crystal structure
Lattice parameters (Å, degrees): 4.366 4.366 4.366 60.00 60.00 60.00
Fractional positions:
Ti 0.000 0.000 0.000
Ni 0.250 0.250 0.250
Sb 0.750 0.750 0.750